# TcIO
Computed X-ray powder pattern, a wavelength of 1.5418 Å. Input: DFT lattice parameters and positions (PBE).
No peak broadening, texture or thermal motion is included.

Structural model:
```
TcIO
1.0
6.186 0.000 0.000
-3.093 5.357 0.000
0.000 0.000 6.596
Tc I O
3 3 3
Direct
0.111 0.443 0.000 Tc
0.333 0.889 0.333 Tc
0.557 0.667 0.667 Tc
0.332 0.328 0.334 I
0.672 0.004 0.000 I
0.996 0.668 0.667 I
0.073 0.666 0.167 O
0.334 0.408 0.833 O
0.592 0.927 0.500 O
```

The 8 most intense peaks (2θ = 10–90°), sorted by position:
- 2θ = 16.5°, d 5.357, rel. 29, (1 0 0)
- 2θ = 21.4°, d 4.158, rel. 100, (0 1 1)
- 2θ = 28.9°, d 3.093, rel. 39, (1 1 0)
- 2θ = 31.9°, d 2.806, rel. 65, (0 1 2)
- 2θ = 36.2°, d 2.482, rel. 70, (0 2 1)
- 2θ = 41.1°, d 2.199, rel. 18, (0 0 3)
- 2θ = 43.5°, d 2.079, rel. 53, (2 0 2)
- 2θ = 53.1°, d 1.725, rel. 24, (1 2 2)